Starting from a structure optimized by DFT (GGA-PBE), the powder diffraction line list of CeDy2Ho6Tm3 was simulated for a wavelength of 1.5418 Å.
Intensities are scaled so that the largest is 100.

```
data_CeDy2Ho6Tm3
_chemical_formula_sum 'Ce2 Dy4 Ho12 Tm6'
_space_group_name_H-M_alt 'C 1 2/m 1'
_space_group_IT_number 12
_cell_length_a 6.0976
_cell_length_b 10.5548
_cell_length_c 11.6629
_cell_angle_alpha 90.00
_cell_angle_beta 100.03
_cell_angle_gamma 90.00
loop_
_space_group_symop_operation_xyz
'x,y,z'
'-x,-y,-z'
'-x,y,-z'
'x,-y,z'
'x+1/2,y+1/2,z'
'-x+1/2,-y+1/2,-z'
'-x+1/2,y+1/2,-z'
'x+1/2,-y+1/2,z'
loop_
_atom_site_label
_atom_site_fract_x
_atom_site_fract_y
_atom_site_fract_z
Ce1 0.0000 0.0000 0.0000
Dy1 0.0000 0.3334 0.0000
Ho1 0.2473 0.0000 0.7485
Ho2 0.2498 0.1656 0.2512
Tm1 0.0000 0.1673 0.5000
Tm2 0.0000 0.5000 0.5000
```

Largest 6 diffraction maxima, sorted by position, 10° ≤ 2θ ≤ 90°:
two_theta  I_rel  index
31.13  100.0  1 3 1
36.10  50.6  2 0 2
51.98  35.9  1 3 5
61.84  42.6  4 0 0
84.95  13.4  4 6 0
87.72  16.8  5 3 1